This entry pairs a crystal structure of Sr2HoTlBr8 with its calculated PXRD pattern. Radiation: CuKα. Structure: a DFT-relaxed cell (GGA-PBE, Alexandria).
No peak broadening, texture or thermal motion is included.

Cell and atoms:
Cell lengths 6.883, 9.438, 7.182 Å; angles 90.00, 90.06, 90.00 degrees
Space group P2/m (No. 10)
One atom of each set of equivalent atoms:
Sr: 0.000 0.250 0.000 [2 per cell]
Ho: 0.500 0.000 0.500 [1 per cell]
Tl: 0.500 0.500 0.500 [1 per cell]
Br: 0.233 0.500 0.865 [2 per cell]
Br: 0.249 0.000 0.819 [2 per cell]
Br: 0.271 0.211 0.341 [4 per cell]

Largest 10 diffraction maxima, in order of falling intensity, 10 to 80 degrees two-theta:
two_theta, d (Å), I/Imax, h k l
17.85, 4.969, 1000, 1 0 -1
34.59, 2.593, 886, 2 2 1
26.04, 3.421, 737, 1 2 1
42.36, 2.134, 641, 0 2 3
22.85, 3.892, 391, 1 2 0
33.97, 2.639, 386, 1 2 -2
28.02, 3.184, 385, 1 0 -2
36.15, 2.485, 331, 2 0 -2
38.14, 2.359, 248, 0 4 0
53.57, 1.711, 192, 2 4 -2

---

This entry pairs a crystal structure of EuGaAg4 with its calculated PXRD pattern. Radiation: CuKα. Structure: a DFT-relaxed cell (GGA-PBE, Alexandria).
No peak broadening, texture or thermal motion is included.

Cell and atoms:
Cell lengths 5.833, 9.483, 4.614 Å; angles 90.00, 90.00, 90.00 degrees
Space group Cmmm (No. 65)
One atom of each set of equivalent atoms:
Eu: 0.000 0.000 0.000 [2 per cell]
Ga: 0.000 0.500 0.500 [2 per cell]
Ag: 0.000 0.343 0.000 [4 per cell]
Ag: 0.250 0.250 0.500 [4 per cell]

Largest 10 diffraction maxima, in order of falling intensity, 10 to 80 degrees two-theta:
two_theta, d (Å), I/Imax, h k l
37.79, 2.381, 1000, 1 3 1
36.44, 2.465, 773, 2 0 1
39.04, 2.307, 520, 0 0 2
36.16, 2.484, 371, 2 2 0
32.21, 2.779, 349, 1 3 0
26.96, 3.307, 284, 0 2 1
59.28, 1.559, 258, 3 3 1
69.91, 1.346, 226, 1 3 3
54.26, 1.691, 224, 2 2 2
41.27, 2.187, 210, 2 2 1

---

This entry pairs a crystal structure of SrAc4Pt4 with its calculated PXRD pattern. Radiation: CuKα. Structure: a DFT-relaxed cell (GGA-PBE, Alexandria).
No peak broadening, texture or thermal motion is included.

Cell and atoms:
Cell lengths 13.975, 6.157, 9.879 Å; angles 90.00, 134.96, 90.00 degrees
Space group C2/m (No. 12)
One atom of each set of equivalent atoms:
Sr: 0.000 0.000 0.000 [2 per cell]
Ac: 0.106 0.500 0.791 [4 per cell]
Ac: 0.185 0.000 0.579 [4 per cell]
Pt: 0.106 0.000 0.804 [4 per cell]
Pt: 0.197 0.500 0.591 [4 per cell]

Largest 10 diffraction maxima, in order of falling intensity, 10 to 80 degrees two-theta:
two_theta, d (Å), I/Imax, h k l
28.56, 3.126, 1000, 2 0 1
41.16, 2.193, 762, 2 2 1
29.01, 3.078, 493, 0 2 0
50.86, 1.795, 426, 6 2 -2
40.83, 2.210, 397, 6 0 -2
12.67, 6.989, 318, 2 0 -1
66.94, 1.398, 182, 0 0 5
67.18, 1.393, 179, 8 2 -6
67.88, 1.381, 178, 2 4 1
75.23, 1.263, 136, 6 4 -2

---

This entry pairs a crystal structure of SmAlGe2 with its calculated PXRD pattern. Radiation: CuKα. Structure: a DFT-relaxed cell (GGA-PBE, Alexandria).
No peak broadening, texture or thermal motion is included.

Cell and atoms:
Cell lengths 4.104, 4.104, 10.033 Å; angles 90.00, 90.00, 90.00 degrees
Space group P4_2mc (No. 105)
One atom of each set of equivalent atoms:
Sm: 0.000 0.000 0.000 [2 per cell]
Al: 0.000 0.500 0.266 [2 per cell]
Ge: 0.000 0.500 0.766 [2 per cell]
Ge: 0.500 0.500 0.084 [2 per cell]

Largest 10 diffraction maxima, in order of falling intensity, 10 to 80 degrees two-theta:
two_theta, d (Å), I/Imax, h k l
35.75, 2.512, 1000, 1 1 2
28.09, 3.177, 310, 1 0 2
44.13, 2.052, 287, 2 0 0
75.70, 1.256, 249, 3 1 2
42.22, 2.140, 242, 1 0 4
62.72, 1.481, 149, 2 1 4
17.68, 5.017, 128, 0 0 2
58.07, 1.588, 125, 2 0 4
59.71, 1.549, 110, 1 0 6
30.81, 2.902, 108, 1 1 0

---

This entry pairs a crystal structure of TiMo4W2 with its calculated PXRD pattern. Radiation: CuKα. Structure: a DFT-relaxed cell (GGA-PBE, Alexandria).
No peak broadening, texture or thermal motion is included.

Cell and atoms:
Cell lengths 14.687, 4.440, 8.188 Å; angles 90.00, 119.39, 90.00 degrees
Space group Cm (No. 8)
One atom of each set of equivalent atoms:
Ti: 0.000 0.000 0.000 [2 per cell]
Ti: 0.195 0.000 0.723 [2 per cell]
Mo: 0.006 0.000 0.342 [2 per cell]
Mo: 0.200 0.000 0.067 [2 per cell]
Mo: 0.201 0.000 0.395 [2 per cell]
Mo: 0.300 0.500 0.605 [2 per cell]
Mo: 0.301 0.500 0.935 [2 per cell]
Mo: 0.400 0.000 0.132 [2 per cell]
Mo: 0.400 0.000 0.797 [2 per cell]
Mo: 0.499 0.500 0.664 [2 per cell]
W: 0.101 0.500 0.865 [2 per cell]
W: 0.102 0.500 0.212 [2 per cell]
W: 0.302 0.500 0.267 [2 per cell]
W: 0.405 0.000 0.470 [2 per cell]

Largest 10 diffraction maxima, in order of falling intensity, 10 to 80 degrees two-theta:
two_theta, d (Å), I/Imax, h k l
40.67, 2.218, 1000, 0 2 0
40.48, 2.228, 505, 1 1 -3
73.76, 1.285, 167, 4 2 3
58.84, 1.569, 165, 6 2 -3
13.30, 6.656, 155, 2 0 -1
74.13, 1.279, 125, 11 1 -3
73.84, 1.283, 84, 1 3 -3
73.98, 1.281, 84, 5 3 0
58.64, 1.574, 82, 4 0 3
35.60, 2.522, 71, 1 1 2